Structure and theoretical X-ray powder pattern of La3Cd2Ag2 (the GGA-PBE geometry in Alexandria; Cu Kα X-rays).

The 10 most intense peaks (10 to 90 degrees two-theta), most intense first:
two_theta	Rel. int.	index
33.47	1000	1 0 2
31.68	693	1 2 1
34.47	521	2 1 0
30.20	321	1 2 0
38.18	266	-1 1 2
37.42	223	0 2 -1
29.24	134	0 1 2
33.20	114	0 2 0
41.25	107	0 1 3
66.16	94	1 3 -3

Cell and atoms:
```
data_La3Cd2Ag2
_cell_length_a 5.2033
_cell_length_b 6.0271
_cell_length_c 6.8402
_cell_angle_alpha 83.28
_cell_angle_beta 89.94
_cell_angle_gamma 64.56
_space_group_name_H-M_alt 'P -1'
_space_group_IT_number 2
_space_group_name_Hall '-P 1'
loop_
_atom_site_label
_atom_site_fract_x
_atom_site_fract_y
_atom_site_fract_z
_atom_site_occupancy
La1 0.0000 0.0000 0.0000 1
La2 0.3766 0.2451 0.2940 1
Cd1 0.3173 0.3660 0.7910 1
Ag1 0.1193 0.7640 0.4409 1
```

---

Structure and theoretical X-ray powder pattern of LiPm6Ga (the GGA-PBE geometry in Alexandria; Cu Kα X-rays).

The 10 most intense peaks (10 to 90 degrees two-theta), most intense first:
two_theta	Rel. int.	index
31.60	1000	1 1 4
34.78	442	2 0 0
60.37	314	3 1 4
26.37	241	1 1 2
50.01	158	2 2 0
46.47	149	2 0 6
54.16	143	2 0 8
57.17	131	1 1 10
29.85	125	0 0 6
79.35	101	3 1 10

Cell and atoms:
```
data_LiPm6Ga
_cell_length_a 5.1586
_cell_length_b 5.1586
_cell_length_c 17.9609
_cell_angle_alpha 90.00
_cell_angle_beta 90.00
_cell_angle_gamma 90.00
_space_group_name_H-M_alt 'I 4/m m m'
_space_group_IT_number 139
_space_group_name_Hall '-I 4 2'
loop_
_atom_site_label
_atom_site_fract_x
_atom_site_fract_y
_atom_site_fract_z
_atom_site_occupancy
Li1 0.0000 0.0000 0.0000 1
Pm1 0.0000 0.0000 0.2503 1
Pm2 0.0000 0.5000 0.1066 1
Ga1 0.0000 0.0000 0.5000 1
```

---

Structure and theoretical X-ray powder pattern of La5Pm5Sn6 (the GGA-PBE geometry in Alexandria; Cu Kα X-rays).

The 10 most intense peaks (10 to 90 degrees two-theta), most intense first:
two_theta	Rel. int.	index
31.89	1000	1 4 2
32.25	768	2 3 1
33.05	421	0 3 3
29.06	297	0 4 2
49.59	294	3 4 2
46.85	200	2 0 4
25.89	192	2 0 0
28.16	182	2 1 1
64.11	126	4 3 3
63.29	118	2 5 5

Cell and atoms:
```
data_La5Pm5Sn6
_cell_length_a 6.8828
_cell_length_b 16.2870
_cell_length_c 9.3734
_cell_angle_alpha 90.00
_cell_angle_beta 90.00
_cell_angle_gamma 90.00
_space_group_name_H-M_alt 'A m m 2'
_space_group_IT_number 38
_space_group_name_Hall 'A 2 -2'
loop_
_atom_site_label
_atom_site_fract_x
_atom_site_fract_y
_atom_site_fract_z
_atom_site_occupancy
La1 0.0000 0.0000 0.0000 1
La2 0.2518 0.1663 0.7398 1
Pm1 0.0000 0.1216 0.3605 1
Pm2 0.5000 0.0000 0.4800 1
Pm3 0.5000 0.1221 0.1194 1
Sn1 0.0000 0.0000 0.6265 1
Sn2 0.0000 0.1973 0.0450 1
Sn3 0.5000 0.0000 0.8518 1
Sn4 0.5000 0.1946 0.4347 1
```

---

Structure and theoretical X-ray powder pattern of Cr4InOs (the GGA-PBE geometry in Alexandria; Cu Kα X-rays).

The 10 most intense peaks (10 to 90 degrees two-theta), most intense first:
two_theta	Rel. int.	index
43.86	1000	3 1 1
37.15	704	2 2 0
71.63	296	5 1 1
66.97	249	4 2 2
22.50	230	1 1 1
79.15	206	4 4 0
45.92	136	2 2 2
58.80	66	3 3 1
26.03	52	2 0 0
83.56	52	5 3 1

Cell and atoms:
```
data_Cr4InOs
_cell_length_a 6.8454
_cell_length_b 6.8454
_cell_length_c 6.8454
_cell_angle_alpha 90.00
_cell_angle_beta 90.00
_cell_angle_gamma 90.00
_space_group_name_H-M_alt 'F -4 3 m'
_space_group_IT_number 216
_space_group_name_Hall 'F -4 2 3'
loop_
_atom_site_label
_atom_site_fract_x
_atom_site_fract_y
_atom_site_fract_z
_atom_site_occupancy
Cr1 0.1230 0.1230 0.1230 1
In1 0.2500 0.2500 0.7500 1
Os1 0.0000 0.0000 0.5000 1
```

---

Structure and theoretical X-ray powder pattern of Mg3ZnPd12 (the GGA-PBE geometry in Alexandria; Cu Kα X-rays).

The 10 most intense peaks (10 to 90 degrees two-theta), most intense first:
two_theta	Rel. int.	index
39.47	1000	1 1 4
45.89	483	2 0 0
66.92	303	2 2 0
80.51	239	3 1 4
22.48	127	1 0 0
80.65	116	1 1 12
84.95	104	2 2 8
32.00	103	1 1 0
51.68	53	2 1 0
57.04	39	2 1 4

Cell and atoms:
```
data_Mg3ZnPd12
_cell_length_a 3.9575
_cell_length_b 3.9575
_cell_length_c 15.7981
_cell_angle_alpha 90.00
_cell_angle_beta 90.00
_cell_angle_gamma 90.00
_space_group_name_H-M_alt 'P 4/m m m'
_space_group_IT_number 123
_space_group_name_Hall '-P 4 2'
loop_
_atom_site_label
_atom_site_fract_x
_atom_site_fract_y
_atom_site_fract_z
_atom_site_occupancy
Mg1 0.0000 0.0000 0.0000 1
Mg2 0.0000 0.0000 0.2523 1
Zn1 0.0000 0.0000 0.5000 1
Pd1 0.0000 0.5000 0.1260 1
Pd2 0.0000 0.5000 0.3782 1
Pd3 0.5000 0.5000 0.0000 1
Pd4 0.5000 0.5000 0.2516 1
Pd5 0.5000 0.5000 0.5000 1
```

---

Structure and theoretical X-ray powder pattern of LaInNi17 (the GGA-PBE geometry in Alexandria; Cu Kα X-rays).

The 10 most intense peaks (10 to 90 degrees two-theta), most intense first:
two_theta	Rel. int.	index
43.97	1000	3 0 3
43.61	634	2 2 0
37.53	393	3 0 0
49.40	351	2 2 3
45.02	330	0 0 6
38.95	315	0 2 4
30.94	246	1 1 3
80.09	175	6 0 0
45.22	174	2 0 5
82.33	173	3 0 9

Cell and atoms:
```
data_LaInNi17
_cell_length_a 8.3012
_cell_length_b 8.3012
_cell_length_c 12.0818
_cell_angle_alpha 90.00
_cell_angle_beta 90.00
_cell_angle_gamma 120.00
_space_group_name_H-M_alt 'R 3 m'
_space_group_IT_number 160
_space_group_name_Hall 'R 3 -2"'
loop_
_atom_site_label
_atom_site_fract_x
_atom_site_fract_y
_atom_site_fract_z
_atom_site_occupancy
La1 0.0000 0.0000 0.0000 1
In1 0.0000 0.0000 0.6857 1
Ni1 0.0000 0.0000 0.2480 1
Ni2 0.0000 0.0000 0.4469 1
Ni3 0.0022 0.2934 0.3432 1
Ni4 0.0063 0.5031 0.8426 1
Ni5 0.0084 0.5042 0.4955 1
Ni6 0.0117 0.5058 0.1906 1
```